# Pm3Cd2Hg7
Computed powder XRD pattern, Cu Kα, 1.54184 Å. Input: a structure optimized by DFT (GGA-PBE).

Principal peaks in the range 2θ from 10° to 80°, in order of rising 2θ:
d (Å), Rel. int.
2.808, 19
2.783, 100
2.562, 22
2.497, 37
1.964, 19
1.544, 17

Structure:
Cell lengths 4.9949, 3.9276, 16.2495 Å; angles 90.00, 98.59, 90.00 degrees
Space group P2/m (No. 10)
Asymmetric unit:
Pm1 0.0000 0.0000 0.0000
Pm2 0.3116 0.5000 0.6258
Cd1 0.1448 0.0000 0.2840
Hg1 0.0779 0.5000 0.1488
Hg2 0.2289 0.0000 0.4568
Hg3 0.4042 0.0000 0.8146
Hg4 0.5000 0.5000 0.0000